# Li2TlIn4
Simulated powder X-ray diffraction pattern, Cu Kα (weighted mean of Kα1 and Kα2). Input: a GGA-PBE-relaxed structure.

Atomic structure:
Cell: 6.1362 6.1362 10.2095 Å, 90.00 90.00 62.61°
Fractional coordinates of all 14 atoms:
Li: 0.2235 0.2235 0.0000
Li: 0.2765 0.2765 0.5000
Li: 0.7235 0.7235 0.5000
Li: 0.7765 0.7765 0.0000
Tl: 0.0000 0.0000 0.5000
Tl: 0.5000 0.5000 0.0000
In: 0.0007 0.4993 0.7500
In: 0.0009 0.9991 0.8377
In: 0.4993 0.0007 0.2500
In: 0.4991 0.5009 0.3377
In: 0.5009 0.4991 0.6623
In: 0.5007 0.9993 0.7500
In: 0.9991 0.0009 0.1623
In: 0.9993 0.5007 0.2500

Main lines, low angle first (2θ = 10–90°):
d_spacing, I_rel
5.243, 20
3.657, 50
2.886, 100
2.724, 100
2.704, 26
2.621, 47
2.277, 53
1.777, 24
1.719, 21
1.303, 20

---

# Ba3Sr2
Simulated powder X-ray diffraction pattern, Cu Kα (weighted mean of Kα1 and Kα2). Input: a GGA-PBE-relaxed structure.

Atomic structure:
Cell: 10.8641 4.2407 14.0872 Å, 90.00 111.28 90.00°
Fractional coordinates of all 10 atoms:
Ba: 0.0204 0.2500 0.2593
Ba: 0.1958 0.2500 0.0344
Ba: 0.4188 0.7500 0.3417
Ba: 0.5812 0.2500 0.6583
Ba: 0.8042 0.7500 0.9656
Ba: 0.9796 0.7500 0.7407
Sr: 0.1911 0.7500 0.5442
Sr: 0.3963 0.7500 0.8574
Sr: 0.6037 0.2500 0.1426
Sr: 0.8089 0.2500 0.4558

Main lines, low angle first (2θ = 10–90°):
d_spacing, I_rel
3.612, 74
3.579, 100
3.519, 68
3.448, 66
3.251, 24
2.961, 42
2.120, 20
1.824, 21
1.816, 21
1.806, 20

---

# Ta3Zn2C
Simulated powder X-ray diffraction pattern, Cu Kα (weighted mean of Kα1 and Kα2). Input: a GGA-PBE-relaxed structure.

Atomic structure:
Cell: 7.0618 7.0618 7.0618 Å, 90.00 90.00 90.00°
Fractional coordinates of all 24 atoms:
Ta: 0.0424 0.1250 0.7924
Ta: 0.1250 0.7924 0.0424
Ta: 0.2076 0.5424 0.3750
Ta: 0.2924 0.4576 0.8750
Ta: 0.3750 0.2076 0.5424
Ta: 0.4576 0.8750 0.2924
Ta: 0.5424 0.3750 0.2076
Ta: 0.6250 0.7076 0.9576
Ta: 0.7076 0.9576 0.6250
Ta: 0.7924 0.0424 0.1250
Ta: 0.8750 0.2924 0.4576
Ta: 0.9576 0.6250 0.7076
Zn: 0.0710 0.9290 0.4290
Zn: 0.1790 0.1790 0.1790
Zn: 0.3210 0.8210 0.6790
Zn: 0.4290 0.0710 0.9290
Zn: 0.5710 0.5710 0.5710
Zn: 0.6790 0.3210 0.8210
Zn: 0.8210 0.6790 0.3210
Zn: 0.9290 0.4290 0.0710
C: 0.1250 0.3750 0.6250
C: 0.3750 0.6250 0.1250
C: 0.6250 0.1250 0.3750
C: 0.8750 0.8750 0.8750

Main lines, low angle first (2θ = 10–90°):
d_spacing, I_rel
3.158, 17
2.354, 100
2.233, 60
2.129, 19
1.664, 11
1.579, 12
1.385, 21
1.311, 22
1.194, 10
1.146, 10

---

# La6CoBi2N
Simulated powder X-ray diffraction pattern, Cu Kα (weighted mean of Kα1 and Kα2). Input: a GGA-PBE-relaxed structure.

Atomic structure:
Cell: 7.4437 7.4437 7.4322 Å, 119.27 119.27 91.31°
Fractional coordinates of all 10 atoms:
La: 0.0000 0.0000 0.0000
La: 0.0098 0.0098 0.5230
La: 0.5015 0.5015 0.5246
La: 0.5228 0.5228 0.0476
La: 0.5246 0.9988 0.5236
La: 0.9988 0.5246 0.5236
Co: 0.2550 0.2550 0.5235
Bi: 0.0096 0.5096 0.0238
Bi: 0.5096 0.0096 0.0238
N: 0.7347 0.7347 0.5242

Main lines, low angle first (2θ = 10–90°):
d_spacing, I_rel
3.048, 100
2.659, 44
2.602, 21
1.880, 16
1.859, 31
1.601, 22
1.598, 7
1.575, 14
1.524, 16
1.208, 9